No. 1
This entry pairs a crystal structure of LiLa2PrHg4 with its calculated X-ray diffraction stick pattern. Radiation: Cu Ka. Structure: DFT lattice parameters and positions (PBE).
Kinematic intensities with the Lorentz-polarization factor, no thermal factor.

Largest 12 diffraction maxima, in order of rising 2θ, 2θ = 10–80°:
- hkl 1 0 4, 23.32°, intensity 23
- hkl 0 1 5, 25.38°, intensity 6
- hkl 0 1 8, 32.93°, intensity 100
- hkl 1 1 0, 33.50°, intensity 98
- hkl 2 0 8, 47.69°, intensity 36
- hkl 1 0 16, 58.44°, intensity 18
- hkl 1 2 8, 59.53°, intensity 37
- hkl 3 0 0, 59.90°, intensity 20
- hkl 0 2 16, 69.06°, intensity 11
- hkl 2 2 0, 70.41°, intensity 13
- hkl 2 1 16, 78.98°, intensity 16
- hkl 3 1 8, 79.93°, intensity 16

Structural model:
Cell: 5.3495 5.3495 26.8795 Å, 90.00 90.00 120.00°
Space group R-3m (No. 166, hexagonal axes)
Unique sites:
Li  0.0000  0.0000  0.0000
La  0.0000  0.0000  0.2555
Pr  0.0000  0.0000  0.5000
Hg  0.0000  0.0000  0.1230
Hg  0.0000  0.0000  0.3738



No. 2
This entry pairs a crystal structure of LiLaSc2Hg4 with its calculated X-ray diffraction stick pattern. Radiation: Cu Ka. Structure: DFT lattice parameters and positions (PBE).
Kinematic intensities with the Lorentz-polarization factor, no thermal factor.

Largest 12 diffraction maxima, in order of rising 2θ, 2θ = 10–80°:
- hkl 1 0 4, 24.69°, intensity 69
- hkl 0 1 5, 26.67°, intensity 19
- hkl 1 0 7, 31.38°, intensity 24
- hkl 0 1 8, 34.02°, intensity 85
- hkl 1 1 0, 36.35°, intensity 100
- hkl 0 1 11, 42.77°, intensity 12
- hkl 0 2 4, 44.44°, intensity 16
- hkl 2 0 8, 50.63°, intensity 28
- hkl 2 1 4, 58.70°, intensity 14
- hkl 1 2 8, 63.91°, intensity 27
- hkl 1 1 15, 64.43°, intensity 20
- hkl 3 0 0, 65.40°, intensity 19

Structural model:
Cell: 4.9435 4.9435 26.7492 Å, 90.00 90.00 120.00°
Space group R-3m (No. 166, hexagonal axes)
Unique sites:
Li  0.0000  0.0000  0.0000
La  0.0000  0.0000  0.5000
Sc  0.0000  0.0000  0.2600
Hg  0.0000  0.0000  0.1075
Hg  0.0000  0.0000  0.3711



No. 3
This entry pairs a crystal structure of Li2LaTbHg4 with its calculated X-ray diffraction stick pattern. Radiation: Cu Ka. Structure: DFT lattice parameters and positions (PBE).
Kinematic intensities with the Lorentz-polarization factor, no thermal factor.

Largest 12 diffraction maxima, in order of rising 2θ, 2θ = 10–80°:
- hkl 0 1 2, 21.22°, intensity 24
- hkl 1 0 4, 24.51°, intensity 48
- hkl 0 1 8, 34.85°, intensity 99
- hkl 1 1 0, 35.03°, intensity 100
- hkl 2 0 2, 41.27°, intensity 12
- hkl 0 2 4, 43.22°, intensity 11
- hkl 2 0 8, 50.24°, intensity 36
- hkl 1 0 16, 62.36°, intensity 17
- hkl 1 2 8, 62.72°, intensity 37
- hkl 3 0 0, 62.83°, intensity 19
- hkl 0 2 16, 73.58°, intensity 11
- hkl 2 2 0, 74.01°, intensity 12

Structural model:
Cell: 5.1233 5.1233 25.2897 Å, 90.00 90.00 120.00°
Space group R-3m (No. 166, hexagonal axes)
Unique sites:
Li  0.0000  0.0000  0.2474
La  0.0000  0.0000  0.0000
Tb  0.0000  0.0000  0.5000
Hg  0.0000  0.0000  0.1282
Hg  0.0000  0.0000  0.3792



No. 4
This entry pairs a crystal structure of La2MgHg with its calculated X-ray diffraction stick pattern. Radiation: Cu Ka. Structure: DFT lattice parameters and positions (PBE).
Kinematic intensities with the Lorentz-polarization factor, no thermal factor.

Largest 12 diffraction maxima, in order of rising 2θ, 2θ = 10–80°:
- hkl 0 0 1, 13.65°, intensity 22
- hkl 0 1 0, 17.61°, intensity 22
- hkl 0 1 1, 22.35°, intensity 17
- hkl 0 0 2, 27.50°, intensity 16
- hkl 1 1 -1, 30.85°, intensity 100
- hkl 1 0 1, 31.83°, intensity 26
- hkl 1 0 -2, 32.00°, intensity 26
- hkl 0 1 2, 32.84°, intensity 65
- hkl 0 2 0, 35.65°, intensity 33
- hkl 0 2 2, 45.63°, intensity 15
- hkl 1 2 1, 48.53°, intensity 16
- hkl 1 2 -2, 48.65°, intensity 16

Structural model:
Cell: 3.6839 5.0364 6.7343 Å, 90.00 105.57 90.00°
Space group Pm (No. 6)
Unique sites:
La  0.0000  0.0000  0.0000
La  0.3224  0.5000  0.6502
Mg  0.5998  0.5000  0.1998
Hg  0.7268  0.0000  0.4576



No. 5
This entry pairs a crystal structure of La3MgHg4 with its calculated X-ray diffraction stick pattern. Radiation: Cu Ka. Structure: DFT lattice parameters and positions (PBE).
Kinematic intensities with the Lorentz-polarization factor, no thermal factor.

Largest 12 diffraction maxima, in order of rising 2θ, 2θ = 10–80°:
- hkl 1 0 4, 23.20°, intensity 21
- hkl 0 1 8, 32.59°, intensity 100
- hkl 1 1 0, 33.48°, intensity 96
- hkl 2 0 8, 47.42°, intensity 36
- hkl 1 1 12, 52.82°, intensity 6
- hkl 1 0 16, 57.57°, intensity 18
- hkl 1 2 8, 59.29°, intensity 37
- hkl 3 0 0, 59.85°, intensity 18
- hkl 0 2 16, 68.27°, intensity 11
- hkl 2 2 0, 70.35°, intensity 11
- hkl 2 1 16, 78.21°, intensity 15
- hkl 3 1 8, 79.70°, intensity 16

Structural model:
Cell: 5.3529 5.3529 27.2946 Å, 90.00 90.00 120.00°
Space group R-3m (No. 166, hexagonal axes)
Unique sites:
La  0.0000  0.0000  0.0000
La  0.0000  0.0000  0.2424
Mg  0.0000  0.0000  0.5000
Hg  0.0000  0.0000  0.1252
Hg  0.0000  0.0000  0.3756



No. 6
This entry pairs a crystal structure of LaMg10Hg2 with its calculated X-ray diffraction stick pattern. Radiation: Cu Ka. Structure: DFT lattice parameters and positions (PBE).
Kinematic intensities with the Lorentz-polarization factor, no thermal factor.

Largest 12 diffraction maxima, in order of rising 2θ, 2θ = 10–80°:
- hkl 0 0 2, 12.39°, intensity 100
- hkl 0 2 2, 17.58°, intensity 26
- hkl 0 4 0, 24.96°, intensity 34
- hkl 0 4 2, 27.98°, intensity 32
- hkl 2 2 0, 32.10°, intensity 22
- hkl 2 2 2, 34.53°, intensity 55
- hkl 0 4 4, 35.59°, intensity 30
- hkl 2 0 4, 39.00°, intensity 20
- hkl 2 2 4, 41.06°, intensity 25
- hkl 2 2 6, 50.37°, intensity 13
- hkl 2 6 2, 50.48°, intensity 13
- hkl 2 6 6, 63.24°, intensity 12

Structural model:
Cell: 6.0599 14.2440 14.2978 Å, 90.00 90.00 90.00°
Space group Fmmm (No. 69)
Unique sites:
La  0.0000  0.0000  0.0000
Mg  0.0000  0.1097  0.3944
Mg  0.0000  0.1774  0.1722
Mg  0.2500  0.0000  0.2500
Hg  0.2500  0.2500  0.0000



No. 7
This entry pairs a crystal structure of La5Mg4Hg4 with its calculated X-ray diffraction stick pattern. Radiation: Cu Ka. Structure: DFT lattice parameters and positions (PBE).
Kinematic intensities with the Lorentz-polarization factor, no thermal factor.

Largest 12 diffraction maxima, in order of rising 2θ, 2θ = 10–80°:
- hkl 2 2 0, 20.22°, intensity 29
- hkl 1 2 1, 24.51°, intensity 73
- hkl 3 0 1, 28.47°, intensity 90
- hkl 2 3 1, 31.98°, intensity 100
- hkl 2 4 0, 32.24°, intensity 51
- hkl 4 1 1, 35.17°, intensity 92
- hkl 5 1 0, 36.91°, intensity 29
- hkl 0 0 2, 37.46°, intensity 49
- hkl 5 3 0, 42.44°, intensity 38
- hkl 2 4 2, 50.23°, intensity 30
- hkl 5 3 2, 57.88°, intensity 31
- hkl 4 7 1, 63.42°, intensity 32

Structural model:
Cell: 12.4189 12.4189 4.8019 Å, 90.00 90.00 90.00°
Space group I4/m (No. 87)
Unique sites:
La  0.0000  0.0000  0.0000
La  0.1308  0.2067  0.5000
Mg  0.0774  0.6023  0.5000
Hg  0.0587  0.7444  0.0000



No. 8
This entry pairs a crystal structure of LaMg4Hg12 with its calculated X-ray diffraction stick pattern. Radiation: Cu Ka. Structure: DFT lattice parameters and positions (PBE).
Kinematic intensities with the Lorentz-polarization factor, no thermal factor.

Largest 12 diffraction maxima, in order of rising 2θ, 2θ = 10–80°:
- hkl 3 1 0, 28.85°, intensity 100
- hkl 3 2 1, 34.29°, intensity 36
- hkl 4 0 2, 41.26°, intensity 9
- hkl 3 3 2, 43.37°, intensity 6
- hkl 4 2 2, 45.41°, intensity 9
- hkl 4 1 3, 47.37°, intensity 38
- hkl 5 0 3, 54.69°, intensity 11
- hkl 6 0 0, 56.42°, intensity 18
- hkl 6 3 1, 64.60°, intensity 16
- hkl 4 4 4, 66.16°, intensity 5
- hkl 7 0 3, 73.74°, intensity 12
- hkl 7 3 2, 76.68°, intensity 8

Structural model:
Cell: 9.7854 9.7854 9.7854 Å, 90.00 90.00 90.00°
Space group Im-3 (No. 204)
Unique sites:
La  0.0000  0.0000  0.0000
Mg  0.2500  0.2500  0.2500
Hg  0.0000  0.1513  0.3470



No. 9
This entry pairs a crystal structure of LaNdMgHg with its calculated X-ray diffraction stick pattern. Radiation: Cu Ka. Structure: DFT lattice parameters and positions (PBE).
Kinematic intensities with the Lorentz-polarization factor, no thermal factor.

Largest 12 diffraction maxima, in order of rising 2θ, 2θ = 10–80°:
- hkl 0 0 1, 11.43°, intensity 33
- hkl 1 0 1, 25.53°, intensity 21
- hkl 1 1 0, 32.39°, intensity 51
- hkl 1 0 2, 32.56°, intensity 100
- hkl 1 1 1, 34.45°, intensity 11
- hkl 2 0 0, 46.46°, intensity 19
- hkl 0 0 4, 46.96°, intensity 9
- hkl 2 1 2, 57.88°, intensity 39
- hkl 1 1 4, 58.20°, intensity 19
- hkl 2 0 4, 68.20°, intensity 12
- hkl 3 1 0, 77.22°, intensity 17
- hkl 1 0 6, 78.00°, intensity 8

Structural model:
Cell: 3.9089 3.9089 7.7403 Å, 90.00 90.00 90.00°
Space group P4mm (No. 99)
Unique sites:
La  0.0000  0.0000  0.0000
Nd  0.0000  0.0000  0.5039
Mg  0.5000  0.5000  0.2596
Hg  0.5000  0.5000  0.7416



No. 10
This entry pairs a crystal structure of LaMgHgPb with its calculated X-ray diffraction stick pattern. Radiation: Cu Ka. Structure: DFT lattice parameters and positions (PBE).
Kinematic intensities with the Lorentz-polarization factor, no thermal factor.

Largest 12 diffraction maxima, in order of rising 2θ, 2θ = 10–80°:
- hkl 1 1 1, 20.19°, intensity 9
- hkl 2 0 0, 23.36°, intensity 21
- hkl 2 2 0, 33.27°, intensity 100
- hkl 3 1 1, 39.23°, intensity 5
- hkl 2 2 2, 41.05°, intensity 7
- hkl 4 0 0, 47.76°, intensity 18
- hkl 3 3 1, 52.36°, intensity 2
- hkl 4 2 0, 53.83°, intensity 10
- hkl 4 2 2, 59.45°, intensity 38
- hkl 4 4 0, 69.86°, intensity 12
- hkl 6 0 0, 74.79°, intensity 5
- hkl 6 2 0, 79.60°, intensity 17

Structural model:
Cell: 7.6167 7.6167 7.6167 Å, 90.00 90.00 90.00°
Space group F-43m (No. 216)
Unique sites:
La  0.0000  0.0000  0.0000
Mg  0.0000  0.0000  0.5000
Hg  0.2500  0.2500  0.2500
Pb  0.2500  0.2500  0.7500



No. 11
This entry pairs a crystal structure of LaHgMo with its calculated X-ray diffraction stick pattern. Radiation: Cu Ka. Structure: DFT lattice parameters and positions (PBE).
Kinematic intensities with the Lorentz-polarization factor, no thermal factor.

Largest 12 diffraction maxima, in order of rising 2θ, 2θ = 10–80°:
- hkl 0 0 2, 15.63°, intensity 15
- hkl 0 1 1, 24.00°, intensity 16
- hkl 0 0 4, 31.57°, intensity 15
- hkl 0 1 3, 32.91°, intensity 100
- hkl 1 1 0, 36.06°, intensity 92
- hkl 1 0 3, 36.64°, intensity 75
- hkl 0 2 0, 46.27°, intensity 29
- hkl 1 1 4, 48.66°, intensity 19
- hkl 2 0 0, 57.12°, intensity 18
- hkl 1 2 3, 60.43°, intensity 35
- hkl 1 1 6, 61.61°, intensity 19
- hkl 2 1 3, 67.53°, intensity 25

Structural model:
Cell: 3.2243 3.9235 11.3368 Å, 90.00 90.00 90.00°
Space group Imm2 (No. 44)
Unique sites:
La  0.0000  0.0000  0.0000
Hg  0.0000  0.0000  0.2954
Mo  0.0000  0.0000  0.6758



No. 12
This entry pairs a crystal structure of La2SiHgMo with its calculated X-ray diffraction stick pattern. Radiation: Cu Ka. Structure: DFT lattice parameters and positions (PBE).
Kinematic intensities with the Lorentz-polarization factor, no thermal factor.

Largest 12 diffraction maxima, in order of rising 2θ, 2θ = 10–80°:
- hkl 1 0 0, 15.72°, intensity 12
- hkl 1 1 1, 29.37°, intensity 100
- hkl 2 0 0, 31.75°, intensity 50
- hkl 0 0 2, 38.27°, intensity 15
- hkl 2 2 0, 45.51°, intensity 18
- hkl 2 0 2, 50.54°, intensity 27
- hkl 3 1 1, 55.09°, intensity 34
- hkl 2 2 2, 60.93°, intensity 15
- hkl 1 1 3, 63.78°, intensity 11
- hkl 3 3 1, 74.16°, intensity 7
- hkl 4 2 0, 75.41°, intensity 8
- hkl 4 0 2, 79.24°, intensity 7

Structural model:
Cell: 5.6370 5.6370 4.7041 Å, 90.00 90.00 90.00°
Space group P4/mmm (No. 123)
Unique sites:
La  0.0000  0.5000  0.0000
Si  0.0000  0.0000  0.0000
Hg  0.0000  0.0000  0.5000
Mo  0.5000  0.5000  0.5000